Entry 1:
Simulated X-ray diffraction stick pattern
Compound: Co3AuF
Radiation: CuKα
Structure: a GGA+U-relaxed structure

Largest 10 diffraction maxima, most intense first, 2θ from 10° to 90°:
2.394 Å, intensity 100, (1 1 1); 2.073 Å, intensity 60, (2 0 0); 2.932 Å, intensity 47, (1 1 0); 1.466 Å, intensity 37, (2 2 0); 1.250 Å, intensity 37, (3 1 1); 4.146 Å, intensity 29, (1 0 0); 1.693 Å, intensity 19, (2 1 1); 1.854 Å, intensity 15, (2 1 0); 1.197 Å, intensity 12, (2 2 2); 1.108 Å, intensity 11, (3 2 1)

Atomic structure:
a = 4.1462 Å, b = 4.1462 Å, c = 4.1462 Å
α = 90.00°, β = 90.00°, γ = 90.00°
Positions (direct):
Co 0.0000 0.0000 0.5000
Co 0.0000 0.5000 0.0000
Co 0.5000 0.0000 0.0000
Au 0.5000 0.5000 0.5000
F 0.0000 0.0000 0.0000

Entry 2:
Simulated X-ray diffraction stick pattern
Compound: MnGaCoAuSeO
Radiation: CuKα
Structure: a GGA+U-relaxed structure

Largest 10 diffraction maxima, most intense first, 2θ from 10° to 90°:
2.645 Å, intensity 100, (1 1 1); 2.191 Å, intensity 91, (1 1 2); 6.777 Å, intensity 56, (0 0 1); 2.872 Å, intensity 45, (1 1 0); 3.389 Å, intensity 36, (0 0 2); 2.089 Å, intensity 34, (0 2 0); 1.777 Å, intensity 30, (0 2 2); 4.178 Å, intensity 29, (0 1 0); 3.955 Å, intensity 29, (1 0 0); 2.259 Å, intensity 29, (0 0 3)

Atomic structure:
a = 3.9553 Å, b = 4.1782 Å, c = 6.7772 Å
α = 90.00°, β = 90.00°, γ = 90.00°
Positions (direct):
Mn 0.0000 0.0000 0.0000
Ga 0.0000 0.5000 0.6546
Co 0.5000 0.5000 0.0400
Au 0.5000 0.0000 0.6766
Se 0.5000 0.0000 0.2602
O 0.0000 0.5000 0.9643

Entry 3:
Simulated X-ray diffraction stick pattern
Compound: MnGaCoAuSeO
Radiation: CuKα
Structure: a GGA+U-relaxed structure

Largest 10 diffraction maxima, most intense first, 2θ from 10° to 90°:
2.220 Å, intensity 100, (1 1 4); 7.475 Å, intensity 82, (0 0 2); 2.589 Å, intensity 80, (1 1 2); 3.738 Å, intensity 55, (0 0 4); 2.246 Å, intensity 42, (0 2 0); 2.760 Å, intensity 39, (1 1 0); 1.927 Å, intensity 37, (0 1 7); 2.863 Å, intensity 36, (1 0 3); 4.302 Å, intensity 35, (0 1 1); 1.548 Å, intensity 30, (1 1 8)

Atomic structure:
a = 3.4980 Å, b = 4.4925 Å, c = 14.9509 Å
α = 90.00°, β = 90.00°, γ = 90.00°
Positions (direct):
Mn 0.0000 0.0000 0.0000
Mn 0.5000 0.5000 0.5000
Ga 0.0000 0.5000 0.7012
Ga 0.5000 0.0000 0.2012
Co 0.0000 0.0000 0.5542
Co 0.5000 0.5000 0.0542
Au 0.0000 0.5000 0.1978
Au 0.5000 0.0000 0.6978
Se 0.0000 0.5000 0.9242
Se 0.5000 0.0000 0.4242
O 0.0000 0.5000 0.5689
O 0.5000 0.0000 0.0689

Entry 4:
Simulated X-ray diffraction stick pattern
Compound: MnGaCoAuSeO
Radiation: CuKα
Structure: a GGA+U-relaxed structure

Largest 10 diffraction maxima, most intense first, 2θ from 10° to 90°:
5.097 Å, intensity 100, (0 0 1); 4.704 Å, intensity 90, (0 1 0); 2.528 Å, intensity 88, (1 1 -2); 2.868 Å, intensity 82, (0 1 1); 2.837 Å, intensity 75, (1 -1 1); 2.079 Å, intensity 69, (1 1 1); 2.651 Å, intensity 59, (0 2 -1); 2.145 Å, intensity 55, (1 2 -1); 3.808 Å, intensity 51, (1 0 0); 1.898 Å, intensity 43, (-1 1 2)

Atomic structure:
a = 3.9317 Å, b = 5.3042 Å, c = 5.8604 Å
α = 116.17°, β = 101.98°, γ = 91.78°
Positions (direct):
Mn 0.0000 0.0000 0.0000
Ga 0.5083 0.5611 0.1187
Co 0.6011 0.2787 0.4301
Au 0.1008 0.5979 0.4057
Se 0.1703 0.1888 0.6627
O 0.5196 0.8887 0.0606